Entry 1:
The following is a simulated powder diffractogram of Pr2Y3Er3. It was derived from a GGA-PBE-relaxed structure, using Cu Kα.
Kinematic intensities with the Lorentz-polarization factor, no thermal factor.

Most intense lines, 2θ = 5–70°, in order of falling intensity:
- 2.745 Å, 2θ = 32.63°, intensity 1000, (3 1 1)
- 3.012 Å, 2θ = 29.66°, intensity 402, (0 0 2)
- 2.883 Å, 2θ = 31.02°, intensity 332, (8 0 0)
- 1.528 Å, 2θ = 60.60°, intensity 291, (8 2 0)
- 2.423 Å, 2θ = 37.11°, intensity 218, (8 0 -2)
- 1.637 Å, 2θ = 56.21°, intensity 211, (11 1 1)
- 1.801 Å, 2θ = 50.70°, intensity 167, (3 1 -3)
- 1.507 Å, 2θ = 61.53°, intensity 103, (6 2 -2)
- 1.855 Å, 2θ = 49.12°, intensity 98, (8 0 2)
- 3.121 Å, 2θ = 28.60°, intensity 90, (2 0 -2)

Structure:
```
data_Pr2Y3Er3
_chemical_formula_sum 'Pr4 Y6 Er6'
_space_group_name_H-M_alt 'C 1 2/m 1'
_space_group_IT_number 12
_cell_length_a 23.891
_cell_length_b 3.609
_cell_length_c 6.233
_cell_angle_alpha 90.00
_cell_angle_beta 105.12
_cell_angle_gamma 90.00
loop_
_space_group_symop_operation_xyz
'x,y,z'
'-x,-y,-z'
'-x,y,-z'
'x,-y,z'
'x+1/2,y+1/2,z'
'-x+1/2,-y+1/2,-z'
'-x+1/2,y+1/2,-z'
'x+1/2,-y+1/2,z'
loop_
_atom_site_label
_atom_site_fract_x
_atom_site_fract_y
_atom_site_fract_z
Pr1 0.249 0.000 0.251
Y1 0.000 0.000 0.000
Y2 0.123 0.000 0.786
Er1 0.000 0.500 0.500
Er2 0.123 0.500 0.288
```

---

Entry 2:
The following is a simulated powder diffractogram of La2Ni3. It was derived from a GGA-PBE-relaxed structure, using Cu Kα.
Kinematic intensities with the Lorentz-polarization factor, no thermal factor.

Most intense lines, 2θ = 5–70°, in order of falling intensity:
- 2.713 Å, 2θ = 33.01°, intensity 1000, (1 3 1)
- 2.681 Å, 2θ = 33.43°, intensity 580, (1 7 0)
- 2.494 Å, 2θ = 36.01°, intensity 278, (1 5 1)
- 2.158 Å, 2θ = 41.85°, intensity 278, (0 10 1)
- 2.059 Å, 2θ = 43.97°, intensity 278, (0 0 2)
- 3.453 Å, 2θ = 25.80°, intensity 257, (0 4 1)
- 1.633 Å, 2θ = 56.33°, intensity 254, (1 7 2)
- 1.994 Å, 2θ = 45.48°, intensity 253, (2 0 0)
- 3.168 Å, 2θ = 28.17°, intensity 174, (0 8 0)
- 1.433 Å, 2θ = 65.11°, intensity 167, (2 0 2)

Structure:
```
data_La2Ni3
_chemical_formula_sum 'La8 Ni12'
_space_group_name_H-M_alt 'C m c m'
_space_group_IT_number 63
_space_group_name_Hall '-C 2c 2'
_cell_length_a 3.988
_cell_length_b 25.342
_cell_length_c 4.119
_cell_angle_alpha 90.00
_cell_angle_beta 90.00
_cell_angle_gamma 90.00
loop_
_atom_site_label
_atom_site_fract_x
_atom_site_fract_y
_atom_site_fract_z
La1 0.000 0.069 0.250
La2 0.000 0.199 0.750
Ni1 0.000 0.329 0.750
Ni2 0.000 0.383 0.250
Ni3 0.000 0.476 0.250
```

---

Entry 3:
The following is a simulated powder diffractogram of Pm2Sn4Pd. It was derived from a GGA-PBE-relaxed structure, using Cu Kα.
Kinematic intensities with the Lorentz-polarization factor, no thermal factor.

Most intense lines, 2θ = 5–70°, in order of falling intensity:
- 2.623 Å, 2θ = 34.18°, intensity 1000, (1 1 2)
- 2.286 Å, 2θ = 39.42°, intensity 468, (2 0 0)
- 1.376 Å, 2θ = 68.14°, intensity 277, (3 1 2)
- 3.042 Å, 2θ = 29.36°, intensity 248, (1 1 1)
- 2.992 Å, 2θ = 29.87°, intensity 191, (0 0 3)
- 1.816 Å, 2θ = 50.23°, intensity 186, (2 0 3)
- 1.617 Å, 2θ = 56.97°, intensity 162, (2 2 0)
- 1.569 Å, 2θ = 58.84°, intensity 120, (1 1 5)
- 1.422 Å, 2θ = 65.65°, intensity 101, (2 2 3)
- 4.074 Å, 2θ = 21.82°, intensity 95, (1 0 1)

Structure:
```
data_Pm2Sn4Pd
_chemical_formula_sum 'Pm2 Sn4 Pd1'
_space_group_name_H-M_alt 'P -4 m 2'
_space_group_IT_number 115
_cell_length_a 4.572
_cell_length_b 4.572
_cell_length_c 8.975
_cell_angle_alpha 90.00
_cell_angle_beta 90.00
_cell_angle_gamma 90.00
loop_
_space_group_symop_operation_xyz
'x,y,z'
'y,-x,-z'
'-x,-y,z'
'-y,x,-z'
'-x,y,z'
'-y,-x,-z'
'x,-y,z'
'y,x,-z'
loop_
_atom_site_label
_atom_site_fract_x
_atom_site_fract_y
_atom_site_fract_z
Pm1 0.000 0.500 0.215
Sn1 0.000 0.000 0.500
Sn2 0.000 0.500 0.826
Sn3 0.500 0.500 0.500
Pd1 0.500 0.500 0.000
```

---

Entry 4:
The following is a simulated powder diffractogram of CaCeCdAg. It was derived from a GGA-PBE-relaxed structure, using Cu Kα.
Kinematic intensities with the Lorentz-polarization factor, no thermal factor.

Most intense lines, 2θ = 5–70°, in order of falling intensity:
- 2.674 Å, 2θ = 33.52°, intensity 1000, (2 2 0)
- 1.544 Å, 2θ = 59.92°, intensity 354, (4 2 2)
- 1.891 Å, 2θ = 48.13°, intensity 175, (4 0 0)
- 4.366 Å, 2θ = 20.34°, intensity 127, (1 1 1)
- 2.280 Å, 2θ = 39.52°, intensity 72, (3 1 1)
- 1.735 Å, 2θ = 52.76°, intensity 32, (3 3 1)
- 1.455 Å, 2θ = 63.97°, intensity 25, (5 1 1)
- 3.781 Å, 2θ = 23.53°, intensity 15, (2 0 0)
- 1.691 Å, 2θ = 54.24°, intensity 6, (4 2 0)

Structure:
```
data_CaCeCdAg
_chemical_formula_sum 'Ca4 Ce4 Cd4 Ag4'
_space_group_name_H-M_alt 'F -4 3 m'
_space_group_IT_number 216
_space_group_name_Hall 'F -4 2 3'
_cell_length_a 7.563
_cell_length_b 7.563
_cell_length_c 7.563
_cell_angle_alpha 90.00
_cell_angle_beta 90.00
_cell_angle_gamma 90.00
loop_
_atom_site_label
_atom_site_fract_x
_atom_site_fract_y
_atom_site_fract_z
Ca1 0.000 0.000 0.000
Ce1 0.000 0.000 0.500
Cd1 0.250 0.250 0.250
Ag1 0.250 0.250 0.750
```

---

Copy entry 3 word for word.
The following is a simulated powder diffractogram of Pm2Sn4Pd. It was derived from a GGA-PBE-relaxed structure, using Cu Kα.
Kinematic intensities with the Lorentz-polarization factor, no thermal factor.

Most intense lines, 2θ = 5–70°, in order of falling intensity:
- 2.623 Å, 2θ = 34.18°, intensity 1000, (1 1 2)
- 2.286 Å, 2θ = 39.42°, intensity 468, (2 0 0)
- 1.376 Å, 2θ = 68.14°, intensity 277, (3 1 2)
- 3.042 Å, 2θ = 29.36°, intensity 248, (1 1 1)
- 2.992 Å, 2θ = 29.87°, intensity 191, (0 0 3)
- 1.816 Å, 2θ = 50.23°, intensity 186, (2 0 3)
- 1.617 Å, 2θ = 56.97°, intensity 162, (2 2 0)
- 1.569 Å, 2θ = 58.84°, intensity 120, (1 1 5)
- 1.422 Å, 2θ = 65.65°, intensity 101, (2 2 3)
- 4.074 Å, 2θ = 21.82°, intensity 95, (1 0 1)

Structure:
```
data_Pm2Sn4Pd
_chemical_formula_sum 'Pm2 Sn4 Pd1'
_space_group_name_H-M_alt 'P -4 m 2'
_space_group_IT_number 115
_cell_length_a 4.572
_cell_length_b 4.572
_cell_length_c 8.975
_cell_angle_alpha 90.00
_cell_angle_beta 90.00
_cell_angle_gamma 90.00
loop_
_space_group_symop_operation_xyz
'x,y,z'
'y,-x,-z'
'-x,-y,z'
'-y,x,-z'
'-x,y,z'
'-y,-x,-z'
'x,-y,z'
'y,x,-z'
loop_
_atom_site_label
_atom_site_fract_x
_atom_site_fract_y
_atom_site_fract_z
Pm1 0.000 0.500 0.215
Sn1 0.000 0.000 0.500
Sn2 0.000 0.500 0.826
Sn3 0.500 0.500 0.500
Pd1 0.500 0.500 0.000
```